This entry pairs a crystal structure of Be2Hg with its theoretical XRD peak list. Radiation: CuKα. Structure: a DFT-relaxed cell (GGA-PBE, Alexandria).

Structural model:
abc: 9.9231 4.4865 3.8425
angles: 90.00 90.00 90.00
Space group Cmcm (No. 63)
One atom of each set of equivalent atoms:
1 Be 0.2425 0.1246 0.2500
2 Hg 0.0000 0.2510 0.7500

Most intense lines, 15° ≤ 2θ ≤ 90°, by angle:
two_theta	Rel. int.	(hkl)
17.88	850	2 0 0
31.97	1000	1 1 1
36.21	203	4 0 0
40.20	136	0 2 0
41.25	514	3 1 1
44.32	208	2 2 0
56.04	206	5 1 1
66.83	125	2 2 2